This entry pairs a crystal structure of Tl5Se2Cl2 with its calculated XRD peak list. Radiation: Cu Kα, 1.54184 Å. Structure: a structure optimized by DFT (PBE).
Kinematic intensities with the Lorentz-polarization factor, no thermal factor.

Cell and atoms:
Lattice parameters (Å, degrees): 10.791 10.791 10.791 68.47 135.86 130.49
Sites, in units of the cell vectors:
Tl  0.098  0.970  0.628
Tl  0.222  0.067  0.289
Tl  0.222  0.433  0.655
Tl  0.341  0.470  0.372
Tl  0.540  0.024  0.218
Tl  0.540  0.822  0.016
Tl  0.778  0.567  0.345
Tl  0.778  0.933  0.711
Tl  0.806  0.322  0.782
Tl  0.806  0.524  0.984
Se  0.015  0.159  0.356
Se  0.762  0.262  0.500
Se  0.762  0.762  0.000
Se  0.803  0.659  0.644
Cl  0.284  0.435  0.075
Cl  0.284  0.710  0.349
Cl  0.361  0.210  0.925
Cl  0.361  0.935  0.651

Peak list (6 most intense, 10 to 90 degrees two-theta, in order of falling intensity)
2θ (°)  intensity
24.58  100.0
27.30  96.4
27.11  87.6
22.05  40.2
33.59  35.7
45.33  34.9

***

This entry pairs a crystal structure of LaBeV3 with its calculated XRD peak list. Radiation: Cu Kα, 1.54184 Å. Structure: a structure optimized by DFT (PBE).
Kinematic intensities with the Lorentz-polarization factor, no thermal factor.

Cell and atoms:
Lattice parameters (Å, degrees): 4.460 4.460 4.460 90.00 90.00 90.00
Sites, in units of the cell vectors:
La  0.000  0.000  0.000
Be  0.500  0.500  0.500
V  0.000  0.500  0.500
V  0.500  0.000  0.500
V  0.500  0.500  0.000

Peak list (6 most intense, 10 to 90 degrees two-theta, in order of falling intensity)
2θ (°)  intensity
34.84  100.0
40.45  53.1
69.96  35.3
58.54  33.8
28.30  27.8
19.91  23.0

***

This entry pairs a crystal structure of Dy7Mg3Cd with its calculated XRD peak list. Radiation: Cu Kα, 1.54184 Å. Structure: a structure optimized by DFT (PBE).
Kinematic intensities with the Lorentz-polarization factor, no thermal factor.

Cell and atoms:
Lattice parameters (Å, degrees): 8.108 8.108 8.108 138.71 103.29 91.08
Sites, in units of the cell vectors:
Dy  0.000  0.000  0.000
Dy  0.101  0.773  0.328
Dy  0.308  0.500  0.808
Dy  0.445  0.773  0.672
Dy  0.555  0.227  0.328
Dy  0.692  0.500  0.192
Dy  0.899  0.227  0.672
Mg  0.279  0.279  0.000
Mg  0.500  0.000  0.500
Mg  0.721  0.721  0.000
Cd  0.000  0.500  0.500

Peak list (6 most intense, 10 to 90 degrees two-theta, in order of falling intensity)
2θ (°)  intensity
34.80  100.0
31.29  67.0
31.50  54.6
23.79  42.6
45.00  40.8
27.73  40.3